# Ba3P2Se8
Theoretical powder X-ray diffraction pattern, Cu Kα (λ = 1.5418 Å). Input: a cell relaxed with GGA-PBE.

Crystal structure
```
52
Lattice="18.339 0.000 0.000 0.000 6.993 0.000 -0.007 0.000 12.433" Properties=species:S:1:pos:R:3 pbc="T T T"
Ba 1.420 0.051 1.866
Ba 1.416 3.445 8.083
Ba 4.644 0.454 5.878
Ba 4.641 3.042 12.094
Ba 7.763 3.605 4.064
Ba 7.760 6.884 10.280
Ba 10.572 0.109 2.153
Ba 10.568 3.387 8.369
Ba 13.691 3.950 0.338
Ba 13.687 6.538 6.555
Ba 16.915 3.547 4.350
Ba 16.912 6.942 10.566
P 2.553 3.803 4.152
P 2.550 6.685 10.368
P 6.621 0.142 2.084
P 6.617 3.354 8.300
P 11.714 3.638 4.133
P 11.711 6.850 10.349
P 15.782 0.307 2.064
P 15.779 3.189 8.281
Se 1.293 5.024 11.167
Se 1.297 5.465 4.951
Se 1.660 1.608 11.125
Se 1.664 1.888 4.909
Se 2.266 3.808 1.939
Se 2.263 6.680 8.155
Se 4.559 4.074 5.090
Se 4.556 6.414 11.307
Se 4.609 0.998 2.491
Se 4.606 2.498 8.708
Se 6.930 5.144 1.138
Se 6.927 5.345 7.355
Se 7.688 0.063 4.046
Se 7.684 3.433 10.262
Se 7.694 1.633 0.817
Se 7.690 1.863 7.033
Se 10.642 5.129 5.400
Se 10.638 5.359 11.616
Se 10.648 3.560 2.170
Se 10.644 6.929 8.386
Se 11.405 1.648 5.078
Se 11.402 1.848 11.294
Se 13.726 4.494 3.725
Se 13.723 5.995 9.941
Se 13.776 0.578 1.126
Se 13.773 2.918 7.342
Se 16.069 0.312 4.278
Se 16.066 3.184 10.494
Se 16.668 5.105 7.524
Se 16.671 5.384 1.307
Se 17.035 1.527 7.482
Se 17.038 1.969 1.266
```

Peak list (10 most intense, 10 to 80 degrees two-theta, in order of falling intensity)
- d = 2.892 Å, rel. 1000
- d = 3.057 Å, rel. 727
- d = 2.538 Å, rel. 689
- d = 2.945 Å, rel. 533
- d = 2.572 Å, rel. 355
- d = 3.565 Å, rel. 267
- d = 1.783 Å, rel. 214
- d = 3.663 Å, rel. 187
- d = 1.832 Å, rel. 185
- d = 3.159 Å, rel. 185

***

# BaPSe3
Theoretical powder X-ray diffraction pattern, Cu Kα (λ = 1.5418 Å). Input: a cell relaxed with GGA-PBE.

Crystal structure
```
20
Lattice="7.170 0.000 0.000 0.000 8.125 0.000 -6.958 0.000 10.430" Properties=species:S:1:pos:R:3 pbc="T T T"
Ba -0.237 0.792 2.589
Ba -3.716 3.271 7.804
Ba 3.928 4.854 2.626
Ba 0.449 7.334 7.842
P 0.355 4.940 0.631
P -3.124 7.248 5.846
P 3.335 0.877 4.585
P -0.144 3.185 9.800
Se -5.713 1.675 9.999
Se -2.234 2.388 4.784
Se -4.739 5.688 10.131
Se -1.259 6.500 4.916
Se 0.571 4.175 2.684
Se -2.908 8.013 7.899
Se 3.120 0.112 2.532
Se -0.360 3.951 7.747
Se 1.471 1.625 5.514
Se 4.950 2.438 0.299
Se 2.446 5.737 5.646
Se 5.925 6.451 0.431
```

Peak list (10 most intense, 10 to 80 degrees two-theta, in order of falling intensity)
- d = 3.205 Å, rel. 1000
- d = 2.609 Å, rel. 718
- d = 3.785 Å, rel. 469
- d = 2.940 Å, rel. 469
- d = 2.926 Å, rel. 419
- d = 2.982 Å, rel. 388
- d = 2.688 Å, rel. 348
- d = 3.111 Å, rel. 337
- d = 3.147 Å, rel. 311
- d = 2.642 Å, rel. 275

***

# Ba3Si4P6
Theoretical powder X-ray diffraction pattern, Cu Kα (λ = 1.5418 Å). Input: a cell relaxed with GGA-PBE.

Crystal structure
```
26
Lattice="7.593 0.000 0.000 0.000 7.371 0.000 -1.898 0.000 11.486" Properties=species:S:1:pos:R:3 pbc="T T T"
Ba -0.001 1.843 0.086
Ba 0.008 5.528 4.183
Ba 1.901 1.843 7.444
Ba 3.795 5.528 4.042
Ba 5.687 1.843 7.303
Ba 5.696 5.528 11.400
Si -0.010 5.528 8.078
Si 1.888 1.843 3.407
Si 1.898 4.264 10.445
Si 1.898 6.792 10.445
Si 3.798 0.579 1.041
Si 3.798 3.106 1.041
Si 3.808 5.528 8.080
Si 5.705 1.843 3.408
P 0.003 1.843 4.739
P -0.017 3.694 9.394
P -0.017 7.362 9.394
P 1.881 0.010 2.092
P 1.881 3.676 2.092
P 1.902 5.528 6.746
P 3.793 1.843 4.740
P 3.814 3.695 9.395
P 3.814 7.361 9.395
P 5.712 0.009 2.093
P 5.712 3.677 2.093
P 5.692 5.528 6.747
```

Peak list (10 most intense, 10 to 80 degrees two-theta, in order of falling intensity)
- d = 2.927 Å, rel. 1000
- d = 2.655 Å, rel. 779
- d = 2.627 Å, rel. 476
- d = 3.339 Å, rel. 455
- d = 4.530 Å, rel. 435
- d = 2.720 Å, rel. 431
- d = 3.685 Å, rel. 413
- d = 1.639 Å, rel. 391
- d = 2.293 Å, rel. 329
- d = 1.544 Å, rel. 289

***

# BaPa3
Theoretical powder X-ray diffraction pattern, Cu Kα (λ = 1.5418 Å). Input: a cell relaxed with GGA-PBE.

Crystal structure
```
4
Lattice="-2.397 2.397 4.831 2.397 -2.397 4.831 2.397 2.397 -4.831" Properties=species:S:1:pos:R:3 pbc="T T T"
Ba 0.000 0.000 0.000
Pa 2.397 0.000 2.416
Pa 0.000 0.000 4.831
Pa 0.000 2.397 2.416
```

Peak list (10 most intense, 10 to 80 degrees two-theta, in order of falling intensity)
- d = 2.775 Å, rel. 1000
- d = 2.397 Å, rel. 335
- d = 1.446 Å, rel. 285
- d = 1.701 Å, rel. 241
- d = 2.416 Å, rel. 171
- d = 1.455 Å, rel. 145
- d = 1.387 Å, rel. 124
- d = 1.695 Å, rel. 119
- d = 4.294 Å, rel. 38
- d = 1.208 Å, rel. 20

***

# BaPb3
Theoretical powder X-ray diffraction pattern, Cu Kα (λ = 1.5418 Å). Input: a cell relaxed with GGA-PBE.

Crystal structure
```
4
Lattice="5.162 0.000 0.000 0.000 5.162 0.000 0.000 0.000 5.162" Properties=species:S:1:pos:R:3 pbc="T T T"
Ba 0.000 0.000 0.000
Pb 0.000 2.581 2.581
Pb 2.581 0.000 2.581
Pb 2.581 2.581 0.000
```

Peak list (10 most intense, 10 to 80 degrees two-theta, in order of falling intensity)
- d = 2.980 Å, rel. 1000
- d = 2.581 Å, rel. 512
- d = 1.556 Å, rel. 448
- d = 1.825 Å, rel. 372
- d = 1.490 Å, rel. 130
- d = 1.291 Å, rel. 61
- d = 5.162 Å, rel. 24
- d = 3.650 Å, rel. 23
- d = 2.309 Å, rel. 15
- d = 2.107 Å, rel. 12

***

# BaPb3
Theoretical powder X-ray diffraction pattern, Cu Kα (λ = 1.5418 Å). Input: a cell relaxed with GGA-PBE.

Crystal structure
```
12
Lattice="3.720 2.148 8.762 -3.720 2.148 8.762 0.000 -4.295 8.762" Properties=species:S:1:pos:R:3 pbc="T T T"
Ba 0.000 0.000 0.000
Ba 0.000 0.000 5.714
Ba 0.000 0.000 20.572
Pb -1.860 -1.074 8.762
Pb -1.623 -0.937 14.633
Pb 0.000 -1.874 11.654
Pb -1.623 0.937 11.654
Pb -1.860 1.074 17.524
Pb 0.000 2.148 8.762
Pb 1.623 -0.937 14.633
Pb 0.000 1.874 14.633
Pb 1.623 0.937 11.654
```

Peak list (10 most intense, 10 to 80 degrees two-theta, in order of falling intensity)
- d = 2.893 Å, rel. 1000
- d = 2.747 Å, rel. 872
- d = 2.921 Å, rel. 557
- d = 1.569 Å, rel. 398
- d = 3.198 Å, rel. 375
- d = 1.860 Å, rel. 337
- d = 1.713 Å, rel. 218
- d = 1.622 Å, rel. 180
- d = 2.300 Å, rel. 164
- d = 6.258 Å, rel. 162

***

# Ba3Pb5
Theoretical powder X-ray diffraction pattern, Cu Kα (λ = 1.5418 Å). Input: a cell relaxed with GGA-PBE.

Crystal structure
```
16
Lattice="5.687 -4.624 0.000 5.687 4.624 0.000 0.000 0.000 11.604" Properties=species:S:1:pos:R:3 pbc="T T T"
Ba 5.687 3.369 8.703
Ba 3.337 0.000 0.000
Ba 3.337 0.000 5.802
Ba 8.038 0.000 0.000
Ba 8.038 0.000 5.802
Ba 5.687 -3.369 2.901
Pb 3.402 2.637 2.901
Pb 5.687 2.816 0.629
Pb 5.687 2.816 5.173
Pb 7.973 2.637 2.901
Pb 5.687 0.350 2.901
Pb 5.687 -0.350 8.703
Pb 3.402 -2.637 8.703
Pb 5.687 -2.816 6.431
Pb 5.687 -2.816 10.975
Pb 7.973 -2.637 8.703
```

Peak list (10 most intense, 10 to 80 degrees two-theta, in order of falling intensity)
- d = 3.051 Å, rel. 1000
- d = 2.599 Å, rel. 363
- d = 2.974 Å, rel. 348
- d = 2.901 Å, rel. 298
- d = 1.599 Å, rel. 274
- d = 2.630 Å, rel. 266
- d = 3.002 Å, rel. 254
- d = 2.844 Å, rel. 238
- d = 6.103 Å, rel. 221
- d = 1.830 Å, rel. 207

***

# BaRh3Pb6
Theoretical powder X-ray diffraction pattern, Cu Kα (λ = 1.5418 Å). Input: a cell relaxed with GGA-PBE.

Crystal structure
```
20
Lattice="4.206 -13.769 0.000 4.206 13.769 0.000 0.000 0.000 4.602" Properties=species:S:1:pos:R:3 pbc="T T T"
Ba 4.206 11.311 3.451
Ba 4.206 -11.311 1.150
Rh 2.617 5.987 1.150
Rh 4.206 1.018 1.150
Rh 5.795 5.987 1.150
Rh 2.617 -5.987 3.451
Rh 4.206 -1.018 3.451
Rh 5.795 -5.987 3.451
Pb 1.665 4.732 3.451
Pb 4.206 6.888 3.451
Pb 2.516 1.269 3.451
Pb 2.516 -1.269 1.150
Pb 4.206 3.711 1.150
Pb 1.665 -4.732 1.150
Pb 6.747 4.732 3.451
Pb 4.206 -3.711 3.451
Pb 5.896 1.269 3.451
Pb 5.896 -1.269 1.150
Pb 4.206 -6.888 1.150
Pb 6.747 -4.732 1.150
```

Peak list (10 most intense, 10 to 80 degrees two-theta, in order of falling intensity)
- d = 3.029 Å, rel. 1000
- d = 2.303 Å, rel. 974
- d = 3.255 Å, rel. 708
- d = 2.756 Å, rel. 514
- d = 2.317 Å, rel. 408
- d = 2.664 Å, rel. 386
- d = 8.045 Å, rel. 329
- d = 2.399 Å, rel. 230
- d = 1.741 Å, rel. 225
- d = 2.386 Å, rel. 220

***

# BaZnPb
Theoretical powder X-ray diffraction pattern, Cu Kα (λ = 1.5418 Å). Input: a cell relaxed with GGA-PBE.

Crystal structure
```
6
Lattice="4.887 0.000 0.000 -2.443 4.232 0.000 0.000 0.000 9.870" Properties=species:S:1:pos:R:3 pbc="T T T"
Ba 0.000 0.000 0.000
Ba 0.000 0.000 4.935
Zn 0.000 2.821 2.467
Zn 2.443 1.411 7.402
Pb 0.000 2.821 7.402
Pb 2.443 1.411 2.467
```

Peak list (10 most intense, 10 to 80 degrees two-theta, in order of falling intensity)
- d = 3.213 Å, rel. 1000
- d = 2.443 Å, rel. 547
- d = 1.736 Å, rel. 389
- d = 3.890 Å, rel. 282
- d = 1.945 Å, rel. 242
- d = 1.522 Å, rel. 220
- d = 2.467 Å, rel. 187
- d = 4.935 Å, rel. 129
- d = 1.225 Å, rel. 125
- d = 1.533 Å, rel. 113